ZrTl2Se3: calculated X-ray powder pattern (Cu Kα), based on a cell relaxed with PBE.
Lines closer than 0.1° are merged.

Atomic structure:
```
data_ZrTl2Se3
_chemical_formula_sum 'Zr2 Tl4 Se6'
_symmetry_space_group_name_H-M 'P 1 21/m 1'
_symmetry_Int_Tables_number 11
_cell_length_a 8.1444
_cell_length_b 3.9525
_cell_length_c 10.8408
_cell_angle_alpha 90.00
_cell_angle_beta 96.55
_cell_angle_gamma 90.00
loop_
_symmetry_equiv_pos_as_xyz
'x,y,z'
'-x,-y,-z'
'-x,y+1/2,-z'
'x,-y+1/2,z'
loop_
_atom_site_label
_atom_site_type_symbol
_atom_site_fract_x
_atom_site_fract_y
_atom_site_fract_z
Zr1 Zr 0.0914 0.2500 0.1656
Tl1 Tl 0.2458 0.7500 0.4957
Tl2 Tl 0.4342 0.2500 0.8445
Se1 Se 0.0522 0.2500 0.7110
Se2 Se 0.1934 0.7500 0.0138
Se3 Se 0.3723 0.2500 0.3072
```

Most intense lines, 2θ = 10–90°, in order of rising 2θ:
index	d_spacing	2θ/deg	Rel. int.
2 0 -1	3.938	22.58	17.0
0 0 3	3.590	24.80	12.6
1 1 1	3.324	26.82	17.1
2 0 2	3.071	29.08	48.2
1 1 -2	3.035	29.43	100.0
2 0 -4	2.370	37.97	19.6
3 1 0	2.228	40.49	36.6
1 1 4	2.096	43.17	30.6
0 2 0	1.977	45.90	25.2
4 0 -2	1.969	46.10	9.2
2 2 2	1.662	55.28	15.9
2 2 -4	1.518	61.06	9.8